Computed powder diffractogram
Compound: Na2PHO4
Radiation: Cu Kα (weighted mean of Kα1 and Kα2)
Structure: DFT lattice parameters and positions (GGA-PBE)
Kinematic intensities with the Lorentz-polarization factor, no thermal factor.

Principal peaks in the range 10° ≤ 2θ ≤ 90°, in order of rising 2θ:
hkl	2θ (°)	d/Å	intensity
1 1 0	22.1	4.022	39
1 1 -2	22.9	3.885	50
0 2 0	25.7	3.464	21
1 0 2	30.7	2.914	29
1 2 0	31.5	2.836	100
1 0 -4	32.4	2.764	43
2 0 -2	32.6	2.749	26
2 2 -4	46.8	1.943	19
0 4 0	52.9	1.732	20
3 2 -2	57.1	1.612	20

a = 5.5068 Å, b = 6.9273 Å, c = 11.0807 Å
α = 90.00°, β = 116.32°, γ = 90.00°
Space group P2_1/c (No. 14)
Unique sites:
Na 0.0000 0.0000 0.0000
Na 0.0000 0.0000 0.5000
Na 0.3919 0.2357 0.3884
P 0.3346 0.7461 0.8085
H 0.0371 0.5092 0.2587
O 0.2094 0.5759 0.8546
O 0.2107 0.5576 0.3416
O 0.2369 0.7461 0.6555
O 0.3598 0.2459 0.1050



Computed powder diffractogram
Compound: Na6P2H2O9
Radiation: Cu Kα (weighted mean of Kα1 and Kα2)
Structure: DFT lattice parameters and positions (GGA-PBE)
Kinematic intensities with the Lorentz-polarization factor, no thermal factor.

Principal peaks in the range 10° ≤ 2θ ≤ 90°, in order of rising 2θ:
hkl	2θ (°)	d/Å	intensity
1 1 0	18.7	4.746	33
1 1 1	20.0	4.439	49
0 0 4	21.2	4.183	36
3 1 -1	32.1	2.790	84
3 1 0	32.7	2.740	100
0 2 1	33.1	2.704	44
2 0 -6	33.5	2.672	66
1 1 6	39.2	2.296	88
2 2 -4	41.6	2.170	55
4 0 -6	44.3	2.045	40

a = 9.7303 Å, b = 5.4795 Å, c = 17.1503 Å
α = 90.00°, β = 102.71°, γ = 90.00°
Space group C2/c (No. 15)
Unique sites:
Na 0.0009 0.0974 0.0971
Na 0.1501 0.3325 0.7847
Na 0.1814 0.4706 0.9520
P 0.1572 0.3867 0.6132
H 0.0823 0.1478 0.2734
O 0.0000 0.0408 0.2500
O 0.0321 0.4746 0.6490
O 0.1017 0.2339 0.5357
O 0.2421 0.2792 0.3251
O 0.2416 0.3867 0.0933



Computed powder diffractogram
Compound: Na2P3HO9
Radiation: Cu Kα (weighted mean of Kα1 and Kα2)
Structure: DFT lattice parameters and positions (GGA-PBE)
Kinematic intensities with the Lorentz-polarization factor, no thermal factor.

Principal peaks in the range 10° ≤ 2θ ≤ 90°, in order of rising 2θ:
hkl	2θ (°)	d/Å	intensity
1 0 0	14.0	6.320	44
1 1 1	16.2	5.481	36
0 1 -1	17.4	5.090	80
0 2 0	23.2	3.837	29
1 1 -1	24.4	3.647	31
0 2 -1	26.9	3.308	24
0 1 2	27.1	3.288	44
0 1 -2	28.2	3.163	59
2 1 2	28.4	3.147	24
2 2 1	30.4	2.941	100

a = 7.1876 Å, b = 7.8895 Å, c = 7.9560 Å
α = 81.68°, β = 63.43°, γ = 76.89°
Space group P-1 (No. 2)
Unique sites:
Na 0.0084 0.1675 0.1517
Na 0.4864 0.8512 0.8546
P 0.1789 0.5492 0.1298
P 0.1858 0.2036 0.6572
P 0.2217 0.7945 0.3407
H 0.4683 0.7749 0.5027
O 0.0382 0.1658 0.5684
O 0.0782 0.3949 0.7344
O 0.2002 0.0713 0.8072
O 0.2267 0.3558 0.1260
O 0.2339 0.6658 0.9557
O 0.2734 0.7754 0.5070
O 0.2752 0.6034 0.2627
O 0.3040 0.9288 0.1860
O 0.3923 0.2210 0.4797



Computed powder diffractogram
Compound: NaPH4SO8
Radiation: Cu Kα (weighted mean of Kα1 and Kα2)
Structure: DFT lattice parameters and positions (GGA-PBE)
Kinematic intensities with the Lorentz-polarization factor, no thermal factor.

Principal peaks in the range 10° ≤ 2θ ≤ 90°, in order of rising 2θ:
hkl	2θ (°)	d/Å	intensity
1 0 1	20.0	4.445	18
1 1 0	20.8	4.263	35
1 1 -1	22.5	3.951	88
1 1 1	23.9	3.728	34
0 1 2	24.1	3.696	100
1 0 2	27.3	3.271	32
1 2 -1	32.0	2.794	20
1 2 1	33.0	2.712	41
1 0 -3	33.3	2.687	25
2 2 3	55.1	1.666	16

a = 5.4728 Å, b = 6.8453 Å, c = 8.8209 Å
α = 90.00°, β = 95.42°, γ = 90.00°
Space group P2_1 (No. 4)
Unique sites:
Na 0.0130 0.0000 0.4457
P 0.1185 0.2591 0.8783
H 0.0870 0.6435 0.9315
H 0.1540 0.5594 0.2492
H 0.4282 0.0536 0.8612
H 0.4517 0.5295 0.7781
S 0.4586 0.2756 0.3614
O 0.0139 0.6517 0.2657
O 0.0518 0.7676 0.9898
O 0.1756 0.4669 0.8319
O 0.2797 0.2789 0.4745
O 0.2846 0.7736 0.5777
O 0.3550 0.1432 0.9356
O 0.4032 0.0740 0.2772
O 0.4046 0.4341 0.2472



Computed powder diffractogram
Compound: Na2P2H3S2O4
Radiation: Cu Kα (weighted mean of Kα1 and Kα2)
Structure: DFT lattice parameters and positions (GGA-PBE)
Kinematic intensities with the Lorentz-polarization factor, no thermal factor.

Principal peaks in the range 10° ≤ 2θ ≤ 90°, in order of rising 2θ:
hkl	2θ (°)	d/Å	intensity
1 0 1	12.1	7.322	100
0 1 -1	12.5	7.098	88
0 1 1	14.0	6.333	70
1 0 -1	15.4	5.763	98
1 0 3	19.6	4.530	30
1 2 -1	21.6	4.113	28
2 1 2	22.2	4.011	31
1 -1 3	24.5	3.640	30
-1 1 2	26.9	3.314	24
2 2 4	32.8	2.734	22

a = 8.5014 Å, b = 8.6811 Å, c = 14.4891 Å
α = 89.82°, β = 75.17°, γ = 62.43°
Space group P-1 (No. 2)
Unique sites:
Na 0.0085 0.2844 0.0403
Na 0.0514 0.6208 0.2197
Na 0.2621 0.4570 0.4029
Na 0.3646 0.7778 0.2652
P 0.0428 0.1629 0.3859
P 0.0884 0.1067 0.5840
P 0.3197 0.3787 0.9953
P 0.4650 0.6015 0.8783
H 0.1101 0.1008 0.8667
H 0.1712 0.0295 0.1084
H 0.1781 0.4938 0.7661
H 0.2866 0.2818 0.2537
H 0.4396 0.4756 0.6272
H 0.4567 0.1961 0.4698
S 0.0992 0.5757 0.6052
S 0.2745 0.1068 0.6403
S 0.3357 0.7746 0.8006
S 0.3600 0.1995 0.8967
O 0.1050 0.9102 0.5801
O 0.1114 0.7541 0.3726
O 0.1382 0.4534 0.0743
O 0.1537 0.1131 0.4684
O 0.1824 0.0667 0.2921
O 0.3117 0.5565 0.9507
O 0.3633 0.5670 0.1698
O 0.4948 0.3043 0.0389



Which formula does entry 1 have?
Na2PHO4